No. 1
Cu2C: calculated powder diffractogram (λ = 1.5418 Å (Cu Kα)), based on a cell relaxed with GGA-PBE.

Top 10 peaks for 2θ from 10° to 90°, sorted by position:
2theta, intensity
37.13, 17
37.90, 25
41.88, 100
54.10, 19
66.94, 17
71.17, 18
79.11, 2
79.59, 15
81.00, 3
82.17, 12

```
Cu2C
1.0
4.842 0.000 0.000
-2.421 4.194 0.000
0.000 0.000 4.748
Cu C
6 3
direct
0.000 0.340 0.239
0.000 0.660 0.761
0.340 0.000 0.239
0.340 0.340 0.761
0.660 0.000 0.761
0.660 0.660 0.239
0.000 0.000 0.000
0.333 0.667 0.500
0.667 0.333 0.500
```

No. 2
RbZnCl3: calculated powder diffractogram (λ = 1.5418 Å (Cu Kα)), based on a cell relaxed with GGA-PBE.

Top 10 peaks for 2θ from 10° to 90°, sorted by position:
2theta, intensity
13.30, 90
19.53, 85
22.23, 56
25.63, 100
27.62, 81
28.37, 48
29.11, 98
30.65, 56
31.77, 68
36.23, 36

```
RbZnCl3
1.0
4.679 -4.888 0.000
4.679 4.888 0.000
-1.703 0.000 6.952
Rb Zn Cl
2 2 6
direct
0.170 0.830 0.500
0.830 0.170 0.000
0.354 0.485 0.992
0.485 0.354 0.492
0.083 0.655 0.018
0.146 0.310 0.422
0.310 0.146 0.922
0.545 0.599 0.779
0.599 0.545 0.279
0.655 0.083 0.518
```

No. 3
PIrSCl2: calculated powder diffractogram (λ = 1.5418 Å (Cu Kα)), based on a cell relaxed with GGA-PBE.

Top 10 peaks for 2θ from 10° to 90°, sorted by position:
2theta, intensity
18.68, 100
19.21, 53
26.53, 41
26.92, 88
37.87, 51
38.99, 24
42.55, 25
42.80, 27
47.07, 39
55.48, 32

```
PIrSCl2
1.0
4.751 0.000 0.000
0.000 4.751 0.000
0.000 0.000 4.620
P Ir S Cl
1 1 1 2
direct
0.000 0.000 0.000
0.000 0.000 0.500
0.500 0.500 0.000
0.000 0.500 0.500
0.500 0.000 0.500
```

No. 4
Li6Sn5Sb: calculated powder diffractogram (λ = 1.5418 Å (Cu Kα)), based on a cell relaxed with GGA-PBE.

Top 10 peaks for 2θ from 10° to 90°, sorted by position:
2theta, intensity
17.98, 29
23.92, 100
26.01, 92
27.18, 93
35.36, 26
35.89, 55
36.51, 81
37.97, 81
45.16, 23
45.59, 48

```
Li6Sn5Sb
1.0
5.094 0.000 0.000
0.002 6.561 0.000
1.928 3.266 7.508
Li Sn Sb
6 5 1
direct
0.001 0.255 0.499
0.242 0.092 0.824
0.242 0.585 0.823
0.758 0.415 0.177
0.758 0.908 0.176
0.999 0.745 0.501
0.247 0.167 0.163
0.257 0.673 0.154
0.500 0.000 0.500
0.743 0.327 0.846
0.753 0.833 0.837
0.500 0.500 0.500
```

No. 5
ScFe2Ir: calculated powder diffractogram (λ = 1.5418 Å (Cu Kα)), based on a cell relaxed with GGA-PBE.

Top 10 peaks for 2θ from 10° to 90°, sorted by position:
2theta, intensity
16.96, 78
22.15, 23
28.03, 34
39.44, 100
41.21, 87
43.21, 31
45.19, 34
47.76, 56
67.85, 38
82.12, 27

```
ScFe2Ir
1.0
2.779 0.000 0.000
0.000 4.013 0.000
0.000 0.000 5.229
Sc Fe Ir
1 2 1
direct
0.000 0.000 0.000
0.500 0.500 0.266
0.500 0.500 0.734
0.000 0.000 0.500
```

No. 6
Li2MgAg3: calculated powder diffractogram (λ = 1.5418 Å (Cu Kα)), based on a cell relaxed with GGA-PBE.

Top 10 peaks for 2θ from 10° to 90°, sorted by position:
2theta, intensity
27.38, 43
27.81, 89
39.42, 100
39.73, 52
48.92, 33
57.44, 17
64.78, 14
65.00, 15
71.27, 13
71.90, 31

```
Li2MgAg3
1.0
3.208 0.000 0.000
0.000 3.208 0.000
0.000 0.000 9.773
Li Mg Ag
2 1 3
direct
0.000 0.000 0.158
0.000 0.000 0.842
0.000 0.000 0.500
0.500 0.500 0.000
0.500 0.500 0.317
0.500 0.500 0.683
```

No. 7
Ac3Zn2Ir: calculated powder diffractogram (λ = 1.5418 Å (Cu Kα)), based on a cell relaxed with GGA-PBE.

Top 10 peaks for 2θ from 10° to 90°, sorted by position:
2theta, intensity
25.85, 49
28.46, 59
29.17, 100
30.89, 31
32.48, 74
35.47, 61
37.01, 30
37.23, 40
42.13, 46
45.99, 34

```
Ac3Zn2Ir
1.0
12.908 0.000 0.000
0.000 4.290 0.000
0.000 0.000 13.110
Ac Zn Ir
12 8 4
direct
0.048 0.250 0.133
0.118 0.750 0.551
0.227 0.250 0.796
0.273 0.750 0.296
0.382 0.250 0.051
0.452 0.750 0.633
0.548 0.250 0.367
0.618 0.750 0.949
0.727 0.250 0.704
0.773 0.750 0.204
0.882 0.250 0.449
0.952 0.750 0.867
0.020 0.750 0.315
0.192 0.750 0.990
0.308 0.250 0.490
0.480 0.250 0.815
0.520 0.750 0.185
0.692 0.750 0.510
0.808 0.250 0.010
0.980 0.250 0.685
0.128 0.250 0.379
0.372 0.750 0.879
0.628 0.250 0.121
0.872 0.750 0.621
```

No. 8
Sb2Pd5Au: calculated powder diffractogram (λ = 1.5418 Å (Cu Kα)), based on a cell relaxed with GGA-PBE.

Top 10 peaks for 2θ from 10° to 90°, sorted by position:
2theta, intensity
29.90, 70
30.96, 17
37.80, 100
40.67, 34
46.58, 64
46.71, 43
51.18, 16
61.14, 14
74.16, 27
74.66, 23

```
Sb2Pd5Au
1.0
1.516 -8.873 0.000
1.516 8.873 0.000
0.000 0.000 11.282
Sb Pd Au
4 10 2
direct
0.125 0.875 0.506
0.125 0.875 0.994
0.875 0.125 0.006
0.875 0.125 0.494
0.003 0.997 0.129
0.003 0.997 0.371
0.132 0.868 0.750
0.266 0.734 0.109
0.266 0.734 0.391
0.734 0.266 0.609
0.734 0.266 0.891
0.868 0.132 0.250
0.997 0.003 0.629
0.997 0.003 0.871
0.140 0.860 0.250
0.860 0.140 0.750
```

No. 9
Sr3Tl5: calculated powder diffractogram (λ = 1.5418 Å (Cu Kα)), based on a cell relaxed with GGA-PBE.

Top 10 peaks for 2θ from 10° to 90°, sorted by position:
2theta, intensity
22.44, 8
30.93, 100
31.94, 46
42.78, 10
45.80, 17
54.37, 19
56.29, 36
64.46, 11
70.98, 9
88.69, 9

```
Sr3Tl5
1.0
4.228 -5.608 0.000
4.228 5.608 0.000
0.000 0.000 5.599
Sr Tl
3 5
direct
0.000 0.000 0.000
0.273 0.727 0.500
0.727 0.273 0.500
0.000 0.500 0.000
0.231 0.231 0.500
0.500 0.000 0.000
0.500 0.500 0.000
0.769 0.769 0.500
```

No. 10
PmDy3Ge3: calculated powder diffractogram (λ = 1.5418 Å (Cu Kα)), based on a cell relaxed with GGA-PBE.

Top 10 peaks for 2θ from 10° to 90°, sorted by position:
2theta, intensity
19.81, 25
25.31, 31
27.84, 26
31.50, 50
34.40, 26
34.66, 100
47.53, 82
53.93, 21
71.32, 17
76.51, 21

```
PmDy3Ge3
1.0
8.965 0.000 0.000
-4.482 7.764 0.000
0.000 0.000 5.681
Pm Dy Ge
2 6 6
direct
0.333 0.667 0.250
0.667 0.333 0.750
0.021 0.702 0.750
0.298 0.320 0.750
0.320 0.021 0.250
0.680 0.979 0.750
0.702 0.680 0.250
0.979 0.298 0.250
0.011 0.359 0.750
0.349 0.989 0.750
0.359 0.349 0.250
0.641 0.651 0.750
0.651 0.011 0.250
0.989 0.641 0.250
```

No. 11
K2Sr2Pt: calculated powder diffractogram (λ = 1.5418 Å (Cu Kα)), based on a cell relaxed with GGA-PBE.

Top 10 peaks for 2θ from 10° to 90°, sorted by position:
2theta, intensity
11.98, 100
15.47, 30
19.61, 52
24.09, 53
27.42, 48
33.56, 25
35.03, 34
37.15, 35
39.83, 34
42.97, 42

```
K2Sr2Pt
1.0
8.101 0.000 0.000
0.000 8.101 0.000
0.000 0.000 7.389
K Sr Pt
4 4 2
direct
0.180 0.320 0.000
0.320 0.820 0.000
0.680 0.180 0.000
0.820 0.680 0.000
0.183 0.683 0.500
0.317 0.183 0.500
0.683 0.817 0.500
0.817 0.317 0.500
0.000 0.000 0.500
0.500 0.500 0.500
```

No. 12
LiPaIrPt: calculated powder diffractogram (λ = 1.5418 Å (Cu Kα)), based on a cell relaxed with GGA-PBE.

Top 10 peaks for 2θ from 10° to 90°, sorted by position:
2theta, intensity
23.22, 31
26.88, 8
38.37, 100
45.34, 17
55.39, 18
60.86, 7
69.40, 36
74.28, 5
82.19, 12
86.85, 6

```
LiPaIrPt
1.0
0.000 3.317 3.317
3.317 0.000 3.317
3.317 3.317 0.000
Li Pa Ir Pt
1 1 1 1
direct
0.000 0.000 0.000
0.500 0.500 0.500
0.750 0.750 0.750
0.250 0.250 0.250
```